For Pr6DyMg2, the PBE geometry in Alexandria gives the calculated powder diffraction line list in this record (CuKα).
Peak positions follow from Bragg's law for the DFT cell and can differ from measured ones.

```
data_Pr6DyMg2
_chemical_formula_sum 'Pr24 Dy4 Mg8'
_cell_length_a 15.9627
_cell_length_b 11.8921
_cell_length_c 6.3108
_cell_angle_alpha 90.00
_cell_angle_beta 96.00
_cell_angle_gamma 90.00
_space_group_name_H-M_alt 'C 1 2/c 1'
_space_group_IT_number 15
_space_group_name_Hall '-C 2yc'
loop_
_atom_site_label
_atom_site_fract_x
_atom_site_fract_y
_atom_site_fract_z
Pr1 0.0554 0.1314 0.0102
Pr2 0.1168 0.3528 0.3147
Pr3 0.2211 0.3674 0.8398
Dy1 0.0000 0.3963 0.7500
Mg1 0.1644 0.1186 0.5870
```

The 8 most intense peaks (2θ = 5–70°), by angle:
| 2θ (°) | intensity | hkl |
| --- | --- | --- |
| 29.41 | 57 | 1 1 -2 |
| 30.06 | 49 | 0 4 0 |
| 31.13 | 55 | 5 1 -1 |
| 31.71 | 100 | 4 2 1 |
| 36.49 | 38 | 1 3 -2 |
| 37.93 | 22 | 5 3 -1 |
| 49.11 | 33 | 5 5 -1 |
| 55.26 | 19 | 6 2 -3 |